For PuMnCu2O8, a crystal structure in Alexandria, relaxed with PBE+U gives the simulated powder XRD pattern in this record (Cu Kα (weighted mean of Kα1 and Kα2)).
Neutral-atom scattering factors, no anomalous dispersion.

Largest 10 diffraction maxima, by angle, 5 to 70 degrees two-theta:
2θ 18.81, 4.717 Å, intensity 72, (1 0 1); 2θ 19.53, 4.545 Å, intensity 34, (1 1 0); 2θ 27.76, 3.214 Å, intensity 95, (2 0 0); 2θ 32.45, 2.759 Å, intensity 100, (1 1 2); 2θ 33.75, 2.656 Å, intensity 23, (2 1 1); 2θ 39.66, 2.273 Å, intensity 20, (2 2 0); 2θ 52.14, 1.754 Å, intensity 68, (3 1 2); 2θ 57.33, 1.607 Å, intensity 16, (4 0 0); 2θ 60.64, 1.527 Å, intensity 20, (2 0 4); 2θ 67.44, 1.389 Å, intensity 19, (3 3 2)

Atomic structure:
Lattice parameters (Å, degrees): 6.4283 6.4283 6.9425 90.00 90.00 90.00
Space group I-4m2 (No. 119)
Unique sites:
Pu 0.0000 0.0000 0.0000
Mn 0.0000 0.5000 0.2500
Cu 0.0000 0.0000 0.5000
Cu 0.0000 0.5000 0.7500
O 0.0000 0.1971 0.2969
O 0.0000 0.2990 0.9498